# 1
Starting from a crystal structure in Alexandria, relaxed with GGA-PBE, the XRD peak list of AlAg2Te was simulated for CuKα.
Lines closer than 0.1° are merged.

Cell and atoms:
Cell lengths 4.569, 4.569, 5.855 Å; angles 100.95, 100.95, 46.27 degrees
Positions (direct):
Al 0.000 0.000 0.000
Ag 0.260 0.260 0.803
Ag 0.740 0.740 0.197
Te 0.500 0.500 0.500

Main lines, sorted by position (10° ≤ 2θ ≤ 80°):
2θ 23.9, intensity 172
2θ 27.1, intensity 152
2θ 29.2, intensity 197
2θ 32.5, intensity 1000
2θ 34.3, intensity 398
2θ 40.0, intensity 219
2θ 41.9, intensity 531
2θ 42.0, intensity 180
2θ 44.1, intensity 223
2θ 50.9, intensity 149


# 2
Starting from a crystal structure in Alexandria, relaxed with GGA-PBE, the XRD peak list of Al2Ag14Te9 was simulated for CuKα.
Lines closer than 0.1° are merged.

Cell and atoms:
Cell lengths 7.890, 8.421, 10.941 Å; angles 89.20, 87.92, 64.10 degrees
Positions (direct):
Al 0.123 0.182 0.297
Al 0.877 0.818 0.703
Ag 0.158 0.464 0.407
Ag 0.168 0.782 0.093
Ag 0.177 0.453 0.935
Ag 0.220 0.725 0.584
Ag 0.439 0.880 0.422
Ag 0.442 0.544 0.279
Ag 0.467 0.854 0.955
Ag 0.533 0.146 0.045
Ag 0.558 0.456 0.721
Ag 0.561 0.120 0.578
Ag 0.780 0.275 0.416
Ag 0.823 0.547 0.065
Ag 0.832 0.218 0.907
Ag 0.842 0.536 0.593
Te 0.104 0.860 0.344
Te 0.148 0.160 0.047
Te 0.217 0.412 0.676
Te 0.491 0.172 0.314
Te 0.500 0.500 0.000
Te 0.509 0.828 0.686
Te 0.783 0.588 0.324
Te 0.852 0.840 0.953
Te 0.896 0.140 0.656

Main lines, sorted by position (10° ≤ 2θ ≤ 80°):
2θ 22.3, intensity 581
2θ 23.7, intensity 492
2θ 24.4, intensity 1000
2θ 33.4, intensity 482
2θ 35.6, intensity 733
2θ 38.1, intensity 721
2θ 39.2, intensity 839
2θ 39.4, intensity 662
2θ 39.4, intensity 901
2θ 39.7, intensity 542


# 3
Starting from a crystal structure in Alexandria, relaxed with GGA-PBE, the XRD peak list of AlTl2AgTe4 was simulated for CuKα.
Lines closer than 0.1° are merged.

Cell and atoms:
Cell lengths 7.056, 7.097, 7.104 Å; angles 102.46, 117.27, 107.90 degrees
Positions (direct):
Al 0.000 0.000 0.000
Tl 0.049 0.537 0.519
Tl 0.637 0.205 0.677
Ag 0.516 0.763 0.266
Te 0.044 0.664 0.076
Te 0.391 0.368 0.355
Te 0.608 0.986 0.975
Te 0.985 0.046 0.631

Main lines, sorted by position (10° ≤ 2θ ≤ 80°):
2θ 15.8, intensity 575
2θ 25.4, intensity 962
2θ 26.0, intensity 731
2θ 26.3, intensity 401
2θ 26.7, intensity 1000
2θ 31.9, intensity 682
2θ 32.3, intensity 781
2θ 32.6, intensity 906
2θ 44.1, intensity 381
2θ 46.5, intensity 458


# 4
Starting from a crystal structure in Alexandria, relaxed with GGA-PBE, the XRD peak list of AlTlAg2Te4 was simulated for CuKα.
Lines closer than 0.1° are merged.

Cell and atoms:
Cell lengths 6.944, 6.944, 6.944 Å; angles 114.60, 114.60, 99.63 degrees
Positions (direct):
Al 0.000 0.000 0.000
Tl 0.500 0.500 0.000
Ag 0.250 0.750 0.500
Ag 0.750 0.250 0.500
Te 0.051 0.633 0.000
Te 0.367 0.367 0.418
Te 0.633 0.051 0.000
Te 0.949 0.949 0.582

Main lines, sorted by position (10° ≤ 2θ ≤ 80°):
2θ 26.0, intensity 1000
2θ 28.4, intensity 399
2θ 32.3, intensity 135
2θ 33.8, intensity 463
2θ 37.3, intensity 136
2θ 43.1, intensity 460
2θ 47.3, intensity 291
2θ 48.5, intensity 120
2θ 53.7, intensity 162
2θ 70.1, intensity 122


# 5
Starting from a crystal structure in Alexandria, relaxed with GGA-PBE, the XRD peak list of ThAl3Ag10 was simulated for CuKα.
Lines closer than 0.1° are merged.

Cell and atoms:
Cell lengths 9.272, 9.272, 9.272 Å; angles 60.00, 60.00, 60.00 degrees
Positions (direct):
Th 0.250 0.250 0.250
Th 0.750 0.750 0.750
Al 0.237 0.237 0.763
Al 0.237 0.763 0.237
Al 0.237 0.763 0.763
Al 0.763 0.237 0.237
Al 0.763 0.237 0.763
Al 0.763 0.763 0.237
Ag 0.116 0.116 0.116
Ag 0.116 0.116 0.653
Ag 0.116 0.653 0.116
Ag 0.154 0.500 0.500
Ag 0.154 0.500 0.846
Ag 0.154 0.846 0.500
Ag 0.347 0.884 0.884
Ag 0.500 0.154 0.500
Ag 0.500 0.154 0.846
Ag 0.500 0.500 0.154
Ag 0.500 0.500 0.846
Ag 0.500 0.846 0.154
Ag 0.500 0.846 0.500
Ag 0.653 0.116 0.116
Ag 0.846 0.154 0.500
Ag 0.846 0.500 0.154
Ag 0.846 0.500 0.500
Ag 0.884 0.347 0.884
Ag 0.884 0.884 0.347
Ag 0.884 0.884 0.884

Main lines, sorted by position (10° ≤ 2θ ≤ 80°):
2θ 13.5, intensity 201
2θ 30.5, intensity 720
2θ 33.5, intensity 415
2θ 35.6, intensity 1000
2θ 38.8, intensity 392
2θ 40.7, intensity 495
2θ 45.9, intensity 314
2θ 58.0, intensity 236
2θ 59.8, intensity 376
2θ 70.3, intensity 250


# 6
Starting from a crystal structure in Alexandria, relaxed with GGA-PBE, the XRD peak list of ThAl3Ag4 was simulated for CuKα.
Lines closer than 0.1° are merged.

Cell and atoms:
Cell lengths 4.360, 4.360, 8.531 Å; angles 90.00, 90.00, 90.00 degrees
Positions (direct):
Th 0.000 0.000 0.000
Al 0.000 0.000 0.500
Al 0.500 0.500 0.147
Al 0.500 0.500 0.853
Ag 0.000 0.500 0.321
Ag 0.000 0.500 0.679
Ag 0.500 0.000 0.321
Ag 0.500 0.000 0.679

Main lines, sorted by position (10° ≤ 2θ ≤ 80°):
2θ 20.4, intensity 286
2θ 22.9, intensity 295
2θ 29.3, intensity 446
2θ 30.8, intensity 1000
2θ 31.5, intensity 453
2θ 35.9, intensity 998
2θ 41.4, intensity 708
2θ 52.9, intensity 409
2θ 60.0, intensity 230
2θ 72.0, intensity 255